The following is a theoretical X-ray diffraction stick pattern of Lu3Ga. It was derived from a crystal structure in the Materials Project, relaxed with PBE, using Cu Kα.

Structure:
```
Lu3Ga
1.0
6.6065 0.0000 0.0000
-3.3033 5.7214 0.0000
0.0000 0.0000 5.2346
Lu Ga
6 2
direct
0.1718 0.3437 0.2500
0.1718 0.8282 0.2500
0.3437 0.1718 0.7500
0.6563 0.8282 0.2500
0.8282 0.1718 0.7500
0.8282 0.6563 0.7500
0.3333 0.6667 0.7500
0.6667 0.3333 0.2500
```

Top 10 peaks for 5 to 70 degrees two-theta, by intensity:
d (Å)	Position (°2θ)	I/Imax
2.510	35.8	100
2.617	34.3	25
2.861	31.3	24
1.397	67.0	21
1.490	62.3	20
1.652	55.6	19
1.931	47.1	15
1.380	67.9	15
3.862	23.0	11
3.303	27.0	4

---

The following is a theoretical X-ray diffraction stick pattern of LuMn6Ga6. It was derived from a crystal structure in the Materials Project, relaxed with PBE, using Cu Kα.

Structure:
```
LuMn6Ga6
1.0
0.0000 6.1892 6.3881
2.4219 0.0000 6.3881
2.4219 6.1892 0.0000
Lu Mn Ga
1 6 6
direct
0.0000 0.0000 0.0000
0.0000 0.0000 0.5000
0.0041 0.6471 0.3529
0.3529 0.9959 0.0041
0.5000 0.5000 0.0000
0.6471 0.0041 0.9959
0.9959 0.3529 0.6471
0.0000 0.5000 0.0000
0.2627 0.5097 0.4903
0.4903 0.7373 0.2627
0.5000 0.0000 0.5000
0.5097 0.2627 0.7373
0.7373 0.4903 0.5097
```

Top 10 peaks for 5 to 70 degrees two-theta, by intensity:
d (Å)	Position (°2θ)	I/Imax
2.223	40.6	100
2.127	42.5	53
2.172	41.6	36
3.050	29.3	27
2.528	35.5	25
3.097	28.8	21
1.548	59.8	20
1.930	47.1	14
2.838	31.5	13
2.422	37.1	13

---

What did the first record say?
The following is a theoretical X-ray diffraction stick pattern of Lu3Ga. It was derived from a crystal structure in the Materials Project, relaxed with PBE, using Cu Kα.

Structure:
```
Lu3Ga
1.0
6.6065 0.0000 0.0000
-3.3033 5.7214 0.0000
0.0000 0.0000 5.2346
Lu Ga
6 2
direct
0.1718 0.3437 0.2500
0.1718 0.8282 0.2500
0.3437 0.1718 0.7500
0.6563 0.8282 0.2500
0.8282 0.1718 0.7500
0.8282 0.6563 0.7500
0.3333 0.6667 0.7500
0.6667 0.3333 0.2500
```

Top 10 peaks for 5 to 70 degrees two-theta, by intensity:
d (Å)	Position (°2θ)	I/Imax
2.510	35.8	100
2.617	34.3	25
2.861	31.3	24
1.397	67.0	21
1.490	62.3	20
1.652	55.6	19
1.931	47.1	15
1.380	67.9	15
3.862	23.0	11
3.303	27.0	4

---

Q: Which formula does entry 2 have?
A: LuMn6Ga6